Entry 1:
Starting from DFT lattice parameters and positions (PBE), the X-ray powder pattern of KPt was simulated for Cu Ka.
Lines closer than 0.1° are merged.

Most intense lines, 2θ = 10–80°, low angle first:
2θ = 16.58°, I 631
2θ = 33.53°, I 285
2θ = 34.51°, I 447
2θ = 38.52°, I 1000
2θ = 48.88°, I 344
2θ = 51.27°, I 38
2θ = 61.83°, I 144
2θ = 63.28°, I 233
2θ = 64.51°, I 119
2θ = 72.20°, I 182
2θ = 72.78°, I 54
2θ = 75.26°, I 141

Structural model:
Cell lengths 3.001, 3.001, 5.346 Å; angles 90.00, 90.00, 120.00 degrees
Element x y z (fractional)
K (0.000, 0.000, 0.000)
Pt (0.667, 0.333, 0.500)



Entry 2:
Starting from DFT lattice parameters and positions (PBE), the X-ray powder pattern of Pr5S8 was simulated for Cu Ka.
Lines closer than 0.1° are merged.

Most intense lines, 2θ = 10–80°, low angle first:
2θ = 12.84°, I 528
2θ = 14.83°, I 172
2θ = 24.72°, I 1000
2θ = 25.83°, I 216
2θ = 29.92°, I 490
2θ = 39.18°, I 500
2θ = 42.82°, I 695
2θ = 50.07°, I 146
2θ = 59.43°, I 240
2θ = 67.95°, I 147
2θ = 70.51°, I 135
2θ = 78.44°, I 210

Structural model:
Cell lengths 8.447, 8.447, 8.447 Å; angles 60.00, 60.00, 60.00 degrees
Element x y z (fractional)
Pr (0.000, 0.000, 0.000)
Pr (0.136, 0.621, 0.621)
Pr (0.621, 0.136, 0.621)
Pr (0.621, 0.621, 0.136)
Pr (0.621, 0.621, 0.621)
S (0.387, 0.387, 0.387)
S (0.387, 0.387, 0.839)
S (0.387, 0.839, 0.387)
S (0.400, 0.867, 0.867)
S (0.839, 0.387, 0.387)
S (0.867, 0.400, 0.867)
S (0.867, 0.867, 0.400)
S (0.867, 0.867, 0.867)



Entry 3:
Starting from DFT lattice parameters and positions (PBE), the X-ray powder pattern of CsCu2AsS3 was simulated for Cu Ka.
Lines closer than 0.1° are merged.

Most intense lines, 2θ = 10–80°, low angle first:
2θ = 20.46°, I 468
2θ = 24.25°, I 319
2θ = 25.87°, I 1000
2θ = 27.56°, I 999
2θ = 28.31°, I 503
2θ = 30.08°, I 445
2θ = 31.85°, I 602
2θ = 32.06°, I 387
2θ = 32.16°, I 285
2θ = 32.53°, I 354
2θ = 50.53°, I 357
2θ = 51.43°, I 364

Structural model:
Cell lengths 9.544, 10.426, 13.760 Å; angles 90.00, 90.00, 90.00 degrees
Element x y z (fractional)
Cs (0.182, 0.104, 0.059)
Cs (0.182, 0.396, 0.559)
Cs (0.318, 0.604, 0.059)
Cs (0.318, 0.896, 0.559)
Cs (0.682, 0.104, 0.441)
Cs (0.682, 0.396, 0.941)
Cs (0.818, 0.604, 0.441)
Cs (0.818, 0.896, 0.941)
Cu (0.075, 0.105, 0.363)
Cu (0.075, 0.395, 0.863)
Cu (0.116, 0.059, 0.772)
Cu (0.116, 0.441, 0.272)
Cu (0.384, 0.559, 0.772)
Cu (0.384, 0.941, 0.272)
Cu (0.425, 0.605, 0.363)
Cu (0.425, 0.895, 0.863)
Cu (0.575, 0.105, 0.137)
Cu (0.575, 0.395, 0.637)
Cu (0.616, 0.059, 0.728)
Cu (0.616, 0.441, 0.228)
Cu (0.884, 0.559, 0.728)
Cu (0.884, 0.941, 0.228)
Cu (0.925, 0.605, 0.137)
Cu (0.925, 0.895, 0.637)
As (0.163, 0.684, 0.785)
As (0.163, 0.816, 0.285)
As (0.337, 0.184, 0.785)
As (0.337, 0.316, 0.285)
As (0.663, 0.684, 0.715)
As (0.663, 0.816, 0.215)
As (0.837, 0.184, 0.715)
As (0.837, 0.316, 0.215)
S (0.012, 0.092, 0.621)
S (0.012, 0.408, 0.121)
S (0.038, 0.706, 0.645)
S (0.038, 0.794, 0.145)
S (0.189, 0.616, 0.352)
S (0.189, 0.884, 0.852)
S (0.311, 0.116, 0.352)
S (0.311, 0.384, 0.852)
S (0.462, 0.206, 0.645)
S (0.462, 0.294, 0.145)
S (0.488, 0.592, 0.621)
S (0.488, 0.908, 0.121)
S (0.512, 0.092, 0.879)
S (0.512, 0.408, 0.379)
S (0.538, 0.706, 0.855)
S (0.538, 0.794, 0.355)
S (0.689, 0.616, 0.148)
S (0.689, 0.884, 0.648)
S (0.811, 0.116, 0.148)
S (0.811, 0.384, 0.648)
S (0.962, 0.206, 0.855)
S (0.962, 0.294, 0.355)
S (0.988, 0.592, 0.879)
S (0.988, 0.908, 0.379)